This entry pairs a crystal structure of Sc3TeBr7 with its computed XRD peak list. Radiation: Cu Kα X-rays. Structure: a cell relaxed with PBE.
Neutral-atom scattering factors, no anomalous dispersion.

Largest 6 diffraction maxima, sorted by position, 10 to 80 degrees two-theta:
12.59°, rel. 26; 25.33°, rel. 17; 29.12°, rel. 100; 36.71°, rel. 26; 46.14°, rel. 26; 47.05°, rel. 23

Unit cell a=13.6302 b=7.8683 c=9.7801 alpha=90.00 beta=134.02 gamma=90.00
Space group Cm (No. 8)
One atom of each set of equivalent atoms:
Sc 0.0000 0.0000 0.0000 [2 per cell]
Sc 0.2438 0.2433 0.0007 [4 per cell]
Te 0.0351 0.0000 0.7448 [2 per cell]
Br 0.0688 0.5000 0.7986 [2 per cell]
Br 0.1917 0.2383 0.2189 [4 per cell]
Br 0.3079 0.2602 0.7976 [4 per cell]
Br 0.4306 0.0000 0.2192 [2 per cell]
Br 0.4438 0.5000 0.2296 [2 per cell]

This entry pairs a crystal structure of ScTi2Br with its computed XRD peak list. Radiation: Cu Kα X-rays. Structure: a cell relaxed with PBE.
Neutral-atom scattering factors, no anomalous dispersion.

Largest 6 diffraction maxima, sorted by position, 10 to 80 degrees two-theta:
20.26°, rel. 35; 32.13°, rel. 100; 37.73°, rel. 81; 44.89°, rel. 25; 46.08°, rel. 28; 50.37°, rel. 56

Unit cell a=7.8799 b=7.8799 c=5.2760 alpha=90.00 beta=90.00 gamma=90.00
Space group I-42d (No. 122)
One atom of each set of equivalent atoms:
Sc 0.0000 0.0000 0.0000 [4 per cell]
Ti 0.1852 0.7500 0.6250 [8 per cell]
Br 0.0000 0.0000 0.5000 [4 per cell]